# NaTmBr4
Computed powder XRD pattern, Cu Ka. Input: a PBE-relaxed structure.
Intensities are scaled so that the largest is 100.

Cell and atoms:
```
data_NaTmBr4
_chemical_formula_sum 'Na1 Tm1 Br4'
_cell_length_a 7.0532
_cell_length_b 4.1272
_cell_length_c 7.5258
_cell_angle_alpha 90.00
_cell_angle_beta 91.53
_cell_angle_gamma 90.00
_space_group_name_H-M_alt 'P 1 2/m 1'
_space_group_IT_number 10
loop_
_space_group_symop_operation_xyz
'x,y,z'
'-x,-y,-z'
'-x,y,-z'
'x,-y,z'
loop_
_atom_site_label
_atom_site_fract_x
_atom_site_fract_y
_atom_site_fract_z
Na1 0.0000 0.0000 0.0000
Tm1 0.0000 0.5000 0.5000
Br1 0.2130 0.5000 0.2020
Br2 0.2271 0.0000 0.6476
```

Peak list (6 most intense, 10 to 90 degrees two-theta, in order of rising 2θ)
11.8°, I 65.1; 12.6°, I 100.0; 26.6°, I 44.0; 27.9°, I 97.8; 35.8°, I 49.3; 45.8°, I 39.0

# Na3UBr6
Computed powder XRD pattern, Cu Ka. Input: a PBE-relaxed structure.
Intensities are scaled so that the largest is 100.

Cell and atoms:
```
data_Na3UBr6
_chemical_formula_sum 'Na12 U4 Br24'
_cell_length_a 9.2470
_cell_length_b 10.9950
_cell_length_c 15.0130
_cell_angle_alpha 90.00
_cell_angle_beta 90.00
_cell_angle_gamma 90.00
_space_group_name_H-M_alt 'F m m m'
_space_group_IT_number 69
_space_group_name_Hall '-F 2 2'
loop_
_atom_site_label
_atom_site_fract_x
_atom_site_fract_y
_atom_site_fract_z
Na1 0.0000 0.0000 0.0000
Na2 0.2500 0.2500 0.2500
U1 0.0000 0.0000 0.5000
Br1 0.0000 0.2446 0.0000
Br2 0.2316 0.0000 0.3658
```

Peak list (6 most intense, 10 to 90 degrees two-theta, in order of rising 2θ)
11.8°, I 80.0; 13.8°, I 100.0; 16.1°, I 50.6; 22.6°, I 87.7; 30.7°, I 78.8; 34.8°, I 58.5

# Na6VBr8
Computed powder XRD pattern, Cu Ka. Input: a PBE-relaxed structure.
Intensities are scaled so that the largest is 100.

Cell and atoms:
```
data_Na6VBr8
_chemical_formula_sum 'Na24 V4 Br32'
_cell_length_a 11.9579
_cell_length_b 11.9579
_cell_length_c 11.9579
_cell_angle_alpha 90.00
_cell_angle_beta 90.00
_cell_angle_gamma 90.00
_space_group_name_H-M_alt 'F m -3 m'
_space_group_IT_number 225
_space_group_name_Hall '-F 4 2 3'
loop_
_atom_site_label
_atom_site_fract_x
_atom_site_fract_y
_atom_site_fract_z
Na1 0.0000 0.2500 0.2500
V1 0.0000 0.0000 0.0000
Br1 0.0000 0.0000 0.2243
Br2 0.2500 0.2500 0.2500
```

Peak list (6 most intense, 10 to 90 degrees two-theta, in order of rising 2θ)
12.8°, I 26.0; 25.8°, I 54.1; 29.9°, I 100.0; 42.8°, I 66.9; 53.1°, I 21.2; 70.4°, I 22.6

# NaWBr6
Computed powder XRD pattern, Cu Ka. Input: a PBE-relaxed structure.
Intensities are scaled so that the largest is 100.

Cell and atoms:
```
data_NaWBr6
_chemical_formula_sum 'Na4 W4 Br24'
_cell_length_a 10.3451
_cell_length_b 10.7097
_cell_length_c 9.9087
_cell_angle_alpha 90.00
_cell_angle_beta 90.32
_cell_angle_gamma 90.00
_space_group_name_H-M_alt 'C 1 2/c 1'
_space_group_IT_number 15
loop_
_space_group_symop_operation_xyz
'x,y,z'
'-x,-y,-z'
'-x,y,-z+1/2'
'x,-y,z+1/2'
'x+1/2,y+1/2,z'
'-x+1/2,-y+1/2,-z'
'-x+1/2,y+1/2,-z+1/2'
'x+1/2,-y+1/2,z+1/2'
loop_
_atom_site_label
_atom_site_fract_x
_atom_site_fract_y
_atom_site_fract_z
Na1 0.0000 0.0457 0.2500
W1 0.2500 0.2500 0.5000
Br1 0.0288 0.3152 0.5605
Br2 0.1799 0.0213 0.5023
Br3 0.1914 0.2652 0.2534
```

Peak list (6 most intense, 10 to 90 degrees two-theta, in order of rising 2θ)
14.9°, I 100.0; 16.6°, I 28.6; 17.1°, I 18.1; 17.9°, I 24.0; 28.6°, I 19.6; 29.6°, I 30.2

# Na6ZnBr8
Computed powder XRD pattern, Cu Ka. Input: a PBE-relaxed structure.
Intensities are scaled so that the largest is 100.

Cell and atoms:
```
data_Na6ZnBr8
_chemical_formula_sum 'Na24 Zn4 Br32'
_cell_length_a 11.9483
_cell_length_b 11.9483
_cell_length_c 11.9483
_cell_angle_alpha 90.00
_cell_angle_beta 90.00
_cell_angle_gamma 90.00
_space_group_name_H-M_alt 'F m -3 m'
_space_group_IT_number 225
_space_group_name_Hall '-F 4 2 3'
loop_
_atom_site_label
_atom_site_fract_x
_atom_site_fract_y
_atom_site_fract_z
Na1 0.0000 0.2500 0.2500
Zn1 0.0000 0.0000 0.0000
Br1 0.0000 0.0000 0.2250
Br2 0.2500 0.2500 0.2500
```

Peak list (6 most intense, 10 to 90 degrees two-theta, in order of rising 2θ)
12.8°, I 30.9; 25.8°, I 46.9; 29.9°, I 100.0; 42.8°, I 67.5; 53.1°, I 21.6; 70.5°, I 23.4